This entry pairs a crystal structure of CsMn2Cu2O6 with its theoretical X-ray powder pattern. Radiation: CuKα. Structure: a DFT-relaxed cell (PBE+U, Alexandria).

Structure:
Lattice parameters (Å, degrees): 5.6750 6.0692 6.2561 99.96 107.26 116.66
Sites, in units of the cell vectors:
1 Cs 0.0000 0.0000 0.0000
2 Mn 0.3199 0.0615 0.6041
3 Mn 0.6801 0.9385 0.3959
4 Cu 0.3034 0.5903 0.7545
5 Cu 0.6966 0.4097 0.2455
6 O 0.1029 0.2378 0.5615
7 O 0.4191 0.7287 0.0718
8 O 0.4491 0.8167 0.5916
9 O 0.5509 0.1833 0.4084
10 O 0.5809 0.2713 0.9282
11 O 0.8971 0.7622 0.4385

Main lines, by angle (15 to 90 degrees two-theta):
| 2theta | intensity |
| --- | --- |
| 17.52 | 57 |
| 22.68 | 67 |
| 29.04 | 63 |
| 29.58 | 70 |
| 29.90 | 73 |
| 30.02 | 100 |
| 30.55 | 70 |
| 31.84 | 59 |
| 33.20 | 47 |
| 35.42 | 65 |

=====

This entry pairs a crystal structure of CsCuMo2O8 with its theoretical X-ray powder pattern. Radiation: CuKα. Structure: a DFT-relaxed cell (PBE+U, Alexandria).

Structure:
Lattice parameters (Å, degrees): 9.5946 9.5946 9.5946 32.05 32.05 32.05
Sites, in units of the cell vectors:
1 Cs 0.0000 0.0000 0.0000
2 Cu 0.5000 0.5000 0.5000
3 Mo 0.2281 0.2281 0.2281
4 Mo 0.7719 0.7719 0.7719
5 O 0.1385 0.7472 0.4863
6 O 0.2528 0.5137 0.8615
7 O 0.2928 0.2928 0.2928
8 O 0.4863 0.1385 0.7472
9 O 0.5137 0.8615 0.2528
10 O 0.7072 0.7072 0.7072
11 O 0.7472 0.4863 0.1385
12 O 0.8615 0.2528 0.5137

Main lines, by angle (15 to 90 degrees two-theta):
| 2theta | intensity |
| --- | --- |
| 23.37 | 100 |
| 25.37 | 13 |
| 29.47 | 11 |
| 32.72 | 18 |
| 33.85 | 35 |
| 41.54 | 17 |
| 45.48 | 8 |
| 54.62 | 17 |
| 60.55 | 10 |
| 71.76 | 8 |